Diffraction record for LiY2SeS. The XRD peak list is calculated, not measured: it uses a DFT-relaxed cell (PBE, Alexandria) and Cu Kα (weighted mean of Kα1 and Kα2).
Kinematic intensities with the Lorentz-polarization factor, no thermal factor.

Atomic structure:
Lattice parameters (Å, degrees): 5.4069 5.4069 4.2900 90.00 90.00 90.00
Space group P4/mmm (No. 123)
Symmetry-distinct sites (fractional):
Li 0.0000 0.0000 0.0000 (multiplicity 1)
Y 0.0000 0.5000 0.5000 (multiplicity 2)
Se 0.0000 0.0000 0.5000 (multiplicity 1)
S 0.5000 0.5000 0.0000 (multiplicity 1)

Principal peaks in the range 2θ = 10–80°, in order of falling intensity:
| d/Å | Position (°2θ) | I/Imax | h k l |
| --- | --- | --- | --- |
| 2.703 | 33.1 | 100 | 2 0 0 |
| 4.290 | 20.7 | 91 | 0 0 1 |
| 2.287 | 39.4 | 69 | 2 0 1 |
| 2.854 | 31.3 | 51 | 1 1 1 |
| 3.361 | 26.5 | 48 | 1 0 1 |
| 1.680 | 54.6 | 46 | 2 0 2 |
| 1.912 | 47.6 | 35 | 2 2 0 |
| 1.746 | 52.4 | 30 | 2 2 1 |
| 1.427 | 65.4 | 26 | 2 2 2 |
| 2.145 | 42.1 | 25 | 0 0 2 |
| 2.106 | 42.9 | 24 | 2 1 1 |
| 1.588 | 58.1 | 16 | 3 1 1 |



Diffraction record for In2Ga5Sn2. The XRD peak list is calculated, not measured: it uses a DFT-relaxed cell (PBE, Alexandria) and Cu Kα (weighted mean of Kα1 and Kα2).
Kinematic intensities with the Lorentz-polarization factor, no thermal factor.

Atomic structure:
Lattice parameters (Å, degrees): 15.9836 6.4735 9.9161 90.00 126.34 90.00
Space group C2 (No. 5)
Symmetry-distinct sites (fractional):
In 0.1144 0.0000 0.0578 (multiplicity 4)
In 0.1419 0.5001 0.6075 (multiplicity 4)
Ga 0.0453 0.7052 0.7652 (multiplicity 4)
Ga 0.0461 0.2923 0.7647 (multiplicity 4)
Ga 0.1509 0.2065 0.3686 (multiplicity 4)
Ga 0.1513 0.7918 0.3668 (multiplicity 4)
Ga 0.2504 0.2478 0.9997 (multiplicity 4)
Sn 0.0000 0.4974 0.0000 (multiplicity 2)
Sn 0.0000 0.9980 0.5000 (multiplicity 2)
Sn 0.2494 0.9974 0.7340 (multiplicity 4)

Principal peaks in the range 2θ = 10–80°, in order of falling intensity:
| d/Å | Position (°2θ) | I/Imax | h k l |
| --- | --- | --- | --- |
| 2.710 | 33.1 | 100 | 2 2 -2 |
| 2.791 | 32.1 | 40 | 3 1 1 |
| 2.745 | 32.6 | 35 | 5 1 -1 |
| 2.478 | 36.2 | 31 | 4 0 -4 |
| 2.139 | 42.2 | 12 | 7 1 -3 |
| 2.206 | 40.9 | 12 | 1 1 3 |
| 2.514 | 35.7 | 12 | 4 0 1 |
| 2.472 | 36.3 | 12 | 6 0 -1 |
| 1.758 | 52.0 | 11 | 5 3 -1 |
| 1.985 | 45.7 | 11 | 4 2 1 |
| 1.588 | 58.1 | 11 | 1 3 3 |
| 2.646 | 33.9 | 10 | 5 1 -3 |



Diffraction record for Sc2TaRu3. The XRD peak list is calculated, not measured: it uses a DFT-relaxed cell (PBE, Alexandria) and Cu Kα (weighted mean of Kα1 and Kα2).
Kinematic intensities with the Lorentz-polarization factor, no thermal factor.

Atomic structure:
Lattice parameters (Å, degrees): 4.5418 13.5307 3.1856 90.00 90.00 90.00
Space group Cmmm (No. 65)
Symmetry-distinct sites (fractional):
Sc 0.0000 0.1679 0.0000 (multiplicity 4)
Ta 0.0000 0.5000 0.0000 (multiplicity 2)
Ru 0.0000 0.0000 0.5000 (multiplicity 2)
Ru 0.0000 0.3409 0.5000 (multiplicity 4)

Principal peaks in the range 2θ = 10–80°, in order of falling intensity:
| d/Å | Position (°2θ) | I/Imax | h k l |
| --- | --- | --- | --- |
| 2.257 | 39.9 | 100 | 1 3 1 |
| 2.271 | 39.7 | 21 | 2 0 0 |
| 6.765 | 13.1 | 20 | 0 2 0 |
| 1.303 | 72.5 | 19 | 2 0 2 |
| 1.309 | 72.2 | 13 | 3 3 1 |
| 1.600 | 57.6 | 13 | 2 6 0 |
| 4.306 | 20.6 | 13 | 1 1 0 |
| 1.593 | 57.9 | 7 | 0 0 2 |
| 1.301 | 72.7 | 6 | 0 6 2 |
| 2.561 | 35.0 | 6 | 1 1 1 |
| 2.320 | 38.8 | 5 | 0 4 1 |
| 1.878 | 48.5 | 4 | 1 5 1 |



Diffraction record for Rb2MnHgBr6. The XRD peak list is calculated, not measured: it uses a DFT-relaxed cell (PBE, Alexandria) and Cu Kα (weighted mean of Kα1 and Kα2).
Kinematic intensities with the Lorentz-polarization factor, no thermal factor.

Atomic structure:
Lattice parameters (Å, degrees): 7.4573 7.7474 7.8921 94.64 116.62 117.18
Space group P-1 (No. 2)
Symmetry-distinct sites (fractional):
Rb 0.0143 0.2633 0.2679 (multiplicity 2)
Mn 0.5000 0.0000 0.5000 (multiplicity 1)
Hg 0.5000 0.5000 0.0000 (multiplicity 1)
Br 0.0384 0.8261 0.3157 (multiplicity 2)
Br 0.3791 0.6948 0.1676 (multiplicity 2)
Br 0.4800 0.7449 0.7049 (multiplicity 2)

Principal peaks in the range 2θ = 10–80°, in order of falling intensity:
| d/Å | Position (°2θ) | I/Imax | h k l |
| --- | --- | --- | --- |
| 2.873 | 31.1 | 100 | 0 2 -2 |
| 2.777 | 32.2 | 63 | 2 0 0 |
| 2.646 | 33.9 | 61 | -2 2 2 |
| 3.951 | 22.5 | 56 | 0 1 1 |
| 5.747 | 15.4 | 42 | 0 1 -1 |
| 3.126 | 28.6 | 40 | 2 0 -2 |
| 3.379 | 26.4 | 30 | 1 1 0 |
| 3.421 | 26.0 | 30 | 1 0 1 |
| 5.553 | 16.0 | 26 | 1 0 0 |
| 1.980 | 45.8 | 26 | 2 2 -2 |
| 5.292 | 16.8 | 25 | -1 1 1 |
| 1.929 | 47.1 | 25 | 2 -4 0 |